1.
For YCuCl4, DFT lattice parameters and positions (PBE) gives the calculated powder diffraction line list in this record (Cu Kα, 1.54184 Å).

Top 12 peaks for 2θ = 10–80°, low angle first:
14.6 deg, rel. 43
18.8 deg, rel. 100
21.1 deg, rel. 35
21.4 deg, rel. 38
25.5 deg, rel. 32
26.5 deg, rel. 30
30.5 deg, rel. 29
31.0 deg, rel. 75
31.7 deg, rel. 37
43.7 deg, rel. 26
47.1 deg, rel. 18
54.6 deg, rel. 18

Cell and atoms:
a = 9.1344 Å, b = 9.1344 Å, c = 6.8258 Å
α = 103.06°, β = 103.06°, γ = 130.03°
Atoms (fractional coordinates):
Y: 0.0655 0.9345 0.7500
Y: 0.9345 0.0655 0.2500
Cu: 0.3261 0.6739 0.2500
Cu: 0.6739 0.3261 0.7500
Cl: 0.0373 0.4090 0.2425
Cl: 0.1808 0.2751 0.7086
Cl: 0.2751 0.1808 0.2086
Cl: 0.4090 0.0373 0.7425
Cl: 0.5910 0.9627 0.2575
Cl: 0.7249 0.8192 0.7914
Cl: 0.8192 0.7249 0.2914
Cl: 0.9627 0.5910 0.7575

***

2.
For ZnPbO3, DFT lattice parameters and positions (PBE) gives the calculated powder diffraction line list in this record (Cu Kα, 1.54184 Å).

Top 12 peaks for 2θ = 10–80°, low angle first:
20.8 deg, rel. 42
29.5 deg, rel. 59
31.6 deg, rel. 100
34.3 deg, rel. 20
43.8 deg, rel. 11
47.3 deg, rel. 33
50.7 deg, rel. 9
53.0 deg, rel. 10
53.6 deg, rel. 28
58.4 deg, rel. 8
59.7 deg, rel. 13
61.9 deg, rel. 15

Cell and atoms:
a = 7.6270 Å, b = 7.6270 Å, c = 5.2356 Å
α = 90.00°, β = 90.00°, γ = 153.83°
Atoms (fractional coordinates):
Zn: 0.0492 0.9508 0.5000
Zn: 0.9508 0.0492 0.0000
Pb: 0.3318 0.6682 0.5267
Pb: 0.6682 0.3318 0.0267
O: 0.0864 0.9136 0.8664
O: 0.2451 0.7549 0.1869
O: 0.4253 0.5747 0.8387
O: 0.5747 0.4253 0.3387
O: 0.7549 0.2451 0.6869
O: 0.9136 0.0864 0.3664

***

3.
For Nd3SbO7, DFT lattice parameters and positions (PBE) gives the calculated powder diffraction line list in this record (Cu Kα, 1.54184 Å).

Top 12 peaks for 2θ = 10–80°, low angle first:
28.2 deg, rel. 98
28.3 deg, rel. 100
32.7 deg, rel. 66
46.8 deg, rel. 17
47.0 deg, rel. 58
47.1 deg, rel. 14
55.6 deg, rel. 42
55.8 deg, rel. 39
58.5 deg, rel. 10
68.6 deg, rel. 12
75.7 deg, rel. 10
78.1 deg, rel. 15

Cell and atoms:
a = 6.6972 Å, b = 6.6972 Å, c = 7.7648 Å
α = 90.00°, β = 90.00°, γ = 109.66°
Atoms (fractional coordinates):
Nd: 0.0000 0.0000 0.0000
Nd: 0.0000 0.0000 0.5000
Nd: 0.0324 0.4993 0.7500
Nd: 0.4993 0.0324 0.2500
Nd: 0.5007 0.9676 0.7500
Nd: 0.9676 0.5007 0.2500
Sb: 0.5000 0.5000 0.0000
Sb: 0.5000 0.5000 0.5000
O: 0.1296 0.8704 0.2500
O: 0.1350 0.8650 0.7500
O: 0.1862 0.4309 0.0281
O: 0.1862 0.4309 0.4719
O: 0.4309 0.1862 0.5281
O: 0.4309 0.1862 0.9719
O: 0.4369 0.5631 0.7500
O: 0.5631 0.4369 0.2500
O: 0.5691 0.8138 0.0281
O: 0.5691 0.8138 0.4719
O: 0.8138 0.5691 0.5281
O: 0.8138 0.5691 0.9719
O: 0.8650 0.1350 0.2500
O: 0.8704 0.1296 0.7500

***

4.
For Mg2CoPt9, DFT lattice parameters and positions (PBE) gives the calculated powder diffraction line list in this record (Cu Kα, 1.54184 Å).

Top 11 peaks for 2θ = 10–80°, low angle first:
22.6 deg, rel. 20
32.2 deg, rel. 17
39.7 deg, rel. 100
46.1 deg, rel. 49
51.9 deg, rel. 9
57.3 deg, rel. 7
67.3 deg, rel. 32
71.9 deg, rel. 3
72.0 deg, rel. 2
76.4 deg, rel. 1
76.6 deg, rel. 2

Cell and atoms:
a = 3.9344 Å, b = 3.9344 Å, c = 11.8248 Å
α = 90.00°, β = 90.00°, γ = 90.00°
Atoms (fractional coordinates):
Mg: 0.0000 0.0000 0.1678
Mg: 0.0000 0.0000 0.8322
Co: 0.0000 0.0000 0.5000
Pt: 0.0000 0.5000 0.0000
Pt: 0.0000 0.5000 0.3388
Pt: 0.0000 0.5000 0.6612
Pt: 0.5000 0.0000 0.0000
Pt: 0.5000 0.0000 0.3388
Pt: 0.5000 0.0000 0.6612
Pt: 0.5000 0.5000 0.1688
Pt: 0.5000 0.5000 0.5000
Pt: 0.5000 0.5000 0.8312

***

5.
For InAsRuCl, DFT lattice parameters and positions (PBE) gives the calculated powder diffraction line list in this record (Cu Kα, 1.54184 Å).

Top 12 peaks for 2θ = 10–80°, low angle first:
10.9 deg, rel. 100
31.4 deg, rel. 38
32.7 deg, rel. 69
38.4 deg, rel. 10
38.9 deg, rel. 24
39.4 deg, rel. 11
42.3 deg, rel. 19
48.4 deg, rel. 9
49.3 deg, rel. 24
51.4 deg, rel. 12
53.5 deg, rel. 10
63.4 deg, rel. 10

Cell and atoms:
a = 3.7116 Å, b = 3.7116 Å, c = 8.3588 Å
α = 101.34°, β = 101.34°, γ = 54.98°
Atoms (fractional coordinates):
In: 0.0000 0.0000 0.0000
As: 0.4612 0.4612 0.3777
Ru: 0.7361 0.7361 0.2385
Cl: 0.2859 0.2859 0.7741

***

6.
For Pm7Co3, DFT lattice parameters and positions (PBE) gives the calculated powder diffraction line list in this record (Cu Kα, 1.54184 Å).

Top 12 peaks for 2θ = 10–80°, low angle first:
25.3 deg, rel. 10
27.8 deg, rel. 20
30.3 deg, rel. 44
31.3 deg, rel. 100
31.6 deg, rel. 13
34.8 deg, rel. 40
35.5 deg, rel. 38
36.7 deg, rel. 30
54.5 deg, rel. 27
55.5 deg, rel. 25
56.1 deg, rel. 22
56.3 deg, rel. 17

Cell and atoms:
a = 9.8074 Å, b = 9.8074 Å, c = 6.2832 Å
α = 90.00°, β = 90.00°, γ = 120.00°
Atoms (fractional coordinates):
Pm: 0.0801 0.5401 0.0000
Pm: 0.1254 0.2507 0.6850
Pm: 0.1254 0.8746 0.6850
Pm: 0.2507 0.1254 0.1850
Pm: 0.3333 0.6667 0.4584
Pm: 0.4599 0.5401 0.0000
Pm: 0.4599 0.9199 0.0000
Pm: 0.5401 0.0801 0.5000
Pm: 0.5401 0.4599 0.5000
Pm: 0.6667 0.3333 0.9584
Pm: 0.7492 0.8746 0.6850
Pm: 0.8746 0.1254 0.1850
Pm: 0.8746 0.7492 0.1850
Pm: 0.9199 0.4599 0.5000
Co: 0.1880 0.3759 0.2417
Co: 0.1880 0.8120 0.2417
Co: 0.3759 0.1880 0.7417
Co: 0.6241 0.8120 0.2417
Co: 0.8120 0.1880 0.7417
Co: 0.8120 0.6241 0.7417

***

7.
For Tm4BiSb2, DFT lattice parameters and positions (PBE) gives the calculated powder diffraction line list in this record (Cu Kα, 1.54184 Å).

Top 12 peaks for 2θ = 10–80°, low angle first:
18.7 deg, rel. 13
26.5 deg, rel. 16
29.8 deg, rel. 35
30.0 deg, rel. 59
35.4 deg, rel. 100
37.9 deg, rel. 10
40.3 deg, rel. 14
44.8 deg, rel. 16
47.1 deg, rel. 10
49.2 deg, rel. 12
52.8 deg, rel. 11
60.1 deg, rel. 10

Cell and atoms:
a = 8.2046 Å, b = 8.2046 Å, c = 8.2046 Å
α = 109.94°, β = 109.27°, γ = 109.20°
Atoms (fractional coordinates):
Tm: 0.1102 0.1190 0.1025
Tm: 0.1112 0.9922 0.5080
Tm: 0.3888 0.8968 0.8810
Tm: 0.3898 0.4922 0.0088
Tm: 0.5158 0.5078 0.6190
Tm: 0.5166 0.0078 0.3975
Tm: 0.9834 0.3810 0.4912
Tm: 0.9842 0.6032 0.9920
Bi: 0.2500 0.6251 0.3751
Bi: 0.7500 0.8749 0.1249
Sb: 0.5493 0.2993 0.2500
Sb: 0.5502 0.2500 0.8002
Sb: 0.9498 0.7500 0.6998
Sb: 0.9507 0.2007 0.7500